Record 1
Tb3Sn3Rh2: theoretical XRD peak list (CuKα), based on a structure optimized by DFT (GGA-PBE).
Kinematic intensities with the Lorentz-polarization factor, no thermal factor.

Principal peaks in the range 10 to 90 degrees two-theta, by angle:
hkl 1 4 1, 2θ = 29.99°, d = 2.980 Å, I 245; hkl 2 4 0, 2θ = 31.67°, d = 2.825 Å, I 850; hkl 1 0 2, 2θ = 32.36°, d = 2.767 Å, I 330; hkl 1 1 2, 2θ = 32.91°, d = 2.722 Å, I 454; hkl 3 0 1, 2θ = 35.28°, d = 2.544 Å, I 1000; hkl 1 3 2, 2θ = 37.04°, d = 2.427 Å, I 504; hkl 1 4 2, 2θ = 40.35°, d = 2.235 Å, I 395; hkl 4 0 1, 2θ = 45.55°, d = 1.991 Å, I 279

```
data_Tb3Sn3Rh2
_chemical_formula_sum 'Tb12 Sn12 Rh8'
_cell_length_a 8.471
_cell_length_b 15.172
_cell_length_c 5.855
_cell_angle_alpha 90.00
_cell_angle_beta 90.00
_cell_angle_gamma 90.00
_symmetry_space_group_name_H-M 'P n m a'
_symmetry_Int_Tables_number 62
_symmetry_space_group_name_Hall '-P 2ac 2n'
loop_
_atom_site_label
_atom_site_fract_x
_atom_site_fract_y
_atom_site_fract_z
Tb1 0.030 0.112 0.114
Tb2 0.170 0.250 0.636
Sn1 0.184 0.750 0.626
Sn2 0.193 0.034 0.611
Rh1 0.085 0.611 0.367
```

Record 2
TbSn5Rh3: theoretical XRD peak list (CuKα), based on a structure optimized by DFT (GGA-PBE).
Kinematic intensities with the Lorentz-polarization factor, no thermal factor.

Principal peaks in the range 10 to 90 degrees two-theta, by angle:
hkl 0 2 0, 2θ = 19.39°, d = 4.578 Å, I 862; hkl 3 1 -3, 2θ = 30.89°, d = 2.895 Å, I 422; hkl 0 0 3, 2θ = 31.54°, d = 2.836 Å, I 457; hkl 2 2 1, 2θ = 31.69°, d = 2.823 Å, I 1000; hkl 4 0 -1, 2θ = 31.90°, d = 2.805 Å, I 518; hkl 0 4 0, 2θ = 39.32°, d = 2.292 Å, I 518; hkl 4 0 -4, 2θ = 39.42°, d = 2.286 Å, I 427; hkl 1 1 -4, 2θ = 39.87°, d = 2.261 Å, I 433

```
data_TbSn5Rh3
_chemical_formula_sum 'Tb4 Sn20 Rh12'
_cell_length_a 11.555
_cell_length_b 9.166
_cell_length_c 9.859
_cell_angle_alpha 90.00
_cell_angle_beta 120.34
_cell_angle_gamma 90.00
_symmetry_space_group_name_H-M 'C 1 2/m 1'
_symmetry_Int_Tables_number 12
_symmetry_space_group_name_Hall '-C 2y'
loop_
_atom_site_label
_atom_site_fract_x
_atom_site_fract_y
_atom_site_fract_z
Tb1 0.095 0.000 0.302
Sn1 0.000 0.298 0.000
Sn2 0.083 0.500 0.353
Sn3 0.162 0.221 0.655
Sn4 0.244 0.000 0.042
Rh1 0.000 0.000 0.000
Rh2 0.000 0.000 0.500
Rh3 0.144 0.500 0.651
Rh4 0.193 0.500 0.176
```

Record 3
Tb3SnRh: theoretical XRD peak list (CuKα), based on a structure optimized by DFT (GGA-PBE).
Kinematic intensities with the Lorentz-polarization factor, no thermal factor.

Principal peaks in the range 10 to 90 degrees two-theta, by angle:
hkl 0 1 2, 2θ = 28.78°, d = 3.102 Å, I 460; hkl 0 2 1, 2θ = 29.68°, d = 3.010 Å, I 482; hkl 2 0 -1, 2θ = 31.86°, d = 2.809 Å, I 650; hkl 1 2 -1, 2θ = 32.38°, d = 2.765 Å, I 896; hkl 1 2 1, 2θ = 35.39°, d = 2.537 Å, I 1000; hkl 1 2 -2, 2θ = 38.13°, d = 2.360 Å, I 378; hkl 2 1 1, 2θ = 40.18°, d = 2.244 Å, I 287; hkl 3 2 0, 2θ = 57.14°, d = 1.612 Å, I 259

```
data_Tb3SnRh
_chemical_formula_sum 'Tb6 Sn2 Rh2'
_cell_length_a 5.690
_cell_length_b 6.667
_cell_length_c 7.218
_cell_angle_alpha 90.00
_cell_angle_beta 103.81
_cell_angle_gamma 90.00
_symmetry_space_group_name_H-M 'P 1 21/m 1'
_symmetry_Int_Tables_number 11
_symmetry_space_group_name_Hall '-P 2yb'
loop_
_atom_site_label
_atom_site_fract_x
_atom_site_fract_y
_atom_site_fract_z
Tb1 0.140 0.250 0.117
Tb2 0.318 0.011 0.694
Sn1 0.181 0.750 0.313
Rh1 0.386 0.750 0.993
```

Record 4
Tc2Sn4Rh: theoretical XRD peak list (CuKα), based on a structure optimized by DFT (GGA-PBE).
Kinematic intensities with the Lorentz-polarization factor, no thermal factor.

Principal peaks in the range 10 to 90 degrees two-theta, by angle:
hkl 0 0 2, 2θ = 13.47°, d = 6.576 Å, I 415; hkl 1 1 0, 2θ = 24.71°, d = 3.603 Å, I 383; hkl 1 1 2, 2θ = 28.24°, d = 3.160 Å, I 383; hkl 2 0 0, 2θ = 35.23°, d = 2.548 Å, I 1000; hkl 1 0 5, 2θ = 38.52°, d = 2.337 Å, I 747; hkl 2 2 0, 2θ = 50.67°, d = 1.802 Å, I 358; hkl 2 1 5, 2θ = 53.18°, d = 1.722 Å, I 587; hkl 3 2 5, 2θ = 76.52°, d = 1.245 Å, I 202

```
data_Tc2Sn4Rh
_chemical_formula_sum 'Tc4 Sn8 Rh2'
_cell_length_a 5.096
_cell_length_b 5.096
_cell_length_c 13.151
_cell_angle_alpha 90.00
_cell_angle_beta 90.00
_cell_angle_gamma 90.00
_symmetry_space_group_name_H-M 'I 4/m m m'
_symmetry_Int_Tables_number 139
_symmetry_space_group_name_Hall '-I 4 2'
loop_
_atom_site_label
_atom_site_fract_x
_atom_site_fract_y
_atom_site_fract_z
Tc1 0.000 0.000 0.096
Sn1 0.000 0.000 0.299
Sn2 0.000 0.500 0.000
Rh1 0.000 0.000 0.500
```